# 1
# PuB4
Theoretical X-ray powder pattern, Cu Kα (λ = 1.5418 Å). Input: a crystal structure in OQMD, relaxed with GGA-PBE.

Largest 6 diffraction maxima, sorted by position, 10° ≤ 2θ ≤ 80°:
d/Å, intensity
4.003, 71
3.543, 53
3.169, 82
2.653, 65
2.485, 100
1.579, 43

Structure:
```
PuB4
1.0
7.085 0.000 0.000
0.000 7.085 0.000
0.000 0.000 4.003
Pu B
4 16
direct
0.186 0.314 0.000
0.314 0.814 0.000
0.686 0.186 0.000
0.814 0.686 0.000
0.000 0.000 0.202
0.000 0.000 0.798
0.039 0.823 0.500
0.087 0.587 0.500
0.177 0.039 0.500
0.323 0.539 0.500
0.413 0.087 0.500
0.461 0.323 0.500
0.500 0.500 0.202
0.500 0.500 0.798
0.539 0.677 0.500
0.587 0.913 0.500
0.677 0.461 0.500
0.823 0.961 0.500
0.913 0.413 0.500
0.961 0.177 0.500
```


# 2
# RbThB
Theoretical X-ray powder pattern, Cu Kα (λ = 1.5418 Å). Input: a crystal structure in OQMD, relaxed with GGA-PBE.

Largest 6 diffraction maxima, sorted by position, 10° ≤ 2θ ≤ 80°:
d/Å, intensity
3.929, 38
3.402, 100
2.406, 89
1.964, 30
1.522, 40
1.389, 32

Structure:
```
RbThB
1.0
6.805 0.000 0.000
0.000 6.805 0.000
0.000 0.000 6.805
Rb Th B
4 4 4
direct
0.000 0.000 0.000
0.000 0.500 0.500
0.500 0.000 0.500
0.500 0.500 0.000
0.000 0.000 0.500
0.000 0.500 0.000
0.500 0.000 0.000
0.500 0.500 0.500
0.250 0.250 0.250
0.250 0.750 0.750
0.750 0.250 0.750
0.750 0.750 0.250
```


# 3
# Tm2ReSi2BW
Theoretical X-ray powder pattern, Cu Kα (λ = 1.5418 Å). Input: a crystal structure in OQMD, relaxed with GGA-PBE.

Largest 6 diffraction maxima, sorted by position, 10° ≤ 2θ ≤ 80°:
d/Å, intensity
3.441, 26
2.808, 50
2.672, 92
2.535, 100
2.185, 24
1.980, 28

Structure:
```
Tm2ReSi2BW
1.0
10.877 0.000 0.000
0.000 3.961 0.000
-3.958 0.000 5.667
Tm Re Si B W
4 2 4 2 2
direct
0.000 0.000 0.000
0.154 0.000 0.605
0.500 0.500 0.000
0.654 0.500 0.605
0.359 0.000 0.212
0.859 0.500 0.212
0.214 0.500 0.965
0.449 0.000 0.643
0.714 0.000 0.965
0.949 0.500 0.643
0.073 0.500 0.300
0.573 0.000 0.300
0.293 0.500 0.392
0.793 0.000 0.392
```


# 4
# Tm3ReB7
Theoretical X-ray powder pattern, Cu Kα (λ = 1.5418 Å). Input: a crystal structure in OQMD, relaxed with GGA-PBE.

Largest 6 diffraction maxima, sorted by position, 10° ≤ 2θ ≤ 80°:
d/Å, intensity
3.409, 100
2.979, 71
2.868, 65
2.287, 78
2.254, 58
1.507, 32

Structure:
```
Tm3ReB7
1.0
1.747 -7.784 0.000
1.747 7.784 0.000
0.000 0.000 9.255
Tm Re B
6 2 14
direct
0.106 0.894 0.560
0.106 0.894 0.940
0.243 0.757 0.250
0.757 0.243 0.750
0.894 0.106 0.060
0.894 0.106 0.440
0.053 0.947 0.250
0.947 0.053 0.750
0.273 0.727 0.534
0.273 0.727 0.966
0.367 0.633 0.650
0.367 0.633 0.850
0.455 0.545 0.250
0.480 0.520 0.594
0.480 0.520 0.906
0.520 0.480 0.094
0.520 0.480 0.406
0.545 0.455 0.750
0.633 0.367 0.150
0.633 0.367 0.350
0.727 0.273 0.034
0.727 0.273 0.466
```